Diffraction record for Mg2InPt3. The powder XRD pattern is computed, not measured: it uses a crystal structure in Alexandria, relaxed with GGA-PBE and Cu Kα, 1.54184 Å.
Peak positions follow from Bragg's law for the DFT cell and can differ from measured ones.

Main lines, by intensity (2θ = 10–90°):
| Position (°2θ) | d_spacing | I/Imax | h k l |
| --- | --- | --- | --- |
| 39.5 | 2.282 | 100 | 0 1 2 |
| 39.7 | 2.272 | 96 | 1 1 0 |
| 27.7 | 3.220 | 79 | 1 0 1 |
| 71.9 | 1.314 | 34 | 1 2 2 |
| 57.2 | 1.610 | 34 | 2 0 2 |
| 49.1 | 1.857 | 17 | 0 2 1 |
| 72.0 | 1.312 | 17 | 3 0 0 |
| 71.5 | 1.319 | 16 | 1 0 4 |
| 64.8 | 1.438 | 15 | 2 1 1 |
| 64.6 | 1.442 | 14 | 1 1 3 |

Atomic structure:
```
data_Mg2InPt3
_space_group_name_H-M_alt 'P -3 m 1'
_space_group_IT_number 164
_space_group_name_Hall '-P 3 2"'
_cell_length_a 4.5449
_cell_length_b 4.5449
_cell_length_c 5.6002
_cell_angle_alpha 90.00
_cell_angle_beta 90.00
_cell_angle_gamma 120.00
loop_
_atom_site_label
_atom_site_type_symbol
_atom_site_fract_x
_atom_site_fract_y
_atom_site_fract_z
Mg1 Mg 0.3333 0.6667 0.1653
In1 In 0.0000 0.0000 0.5000
Pt1 Pt 0.0000 0.0000 0.0000
Pt2 Pt 0.3333 0.6667 0.6786
```